(1)
Starting from a cell relaxed with GGA-PBE, the powder XRD pattern of AcLa2Pr2Dy was simulated for a wavelength of 1.5418 Å.

Cell and atoms:
```
12
Lattice="5.889 0.000 0.000 0.000 10.222 0.000 0.000 0.000 7.365" Properties=species:S:1:pos:R:3 pbc="T T T"
Ac 0.000 0.002 0.000
Ac 0.000 10.220 3.682
La 0.000 3.415 1.847
La 0.000 6.807 5.529
La 2.945 5.109 0.004
La 2.945 5.113 3.686
Pr 0.000 3.433 5.527
Pr 0.000 6.788 1.845
Pr 2.945 1.741 1.841
Pr 2.945 8.481 5.524
Dy 2.945 1.707 5.522
Dy 2.945 8.515 1.840
```

Largest 10 diffraction maxima, sorted by position, 2θ = 15–90°:
29.92°, I = 99; 30.32°, I = 100; 43.12°, I = 37; 49.51°, I = 9; 53.62°, I = 39; 53.87°, I = 20; 59.17°, I = 30; 63.04°, I = 8; 71.33°, I = 11; 76.18°, I = 14

---

(2)
Starting from a cell relaxed with GGA-PBE, the powder XRD pattern of Tl2AsPd6 was simulated for a wavelength of 1.5418 Å.

Cell and atoms:
```
9
Lattice="7.184 0.000 0.000 -3.592 6.222 0.000 0.000 0.000 3.540" Properties=species:S:1:pos:R:3 pbc="T T T"
Tl 0.000 4.148 0.000
Tl 3.592 2.074 0.000
As 0.000 0.000 1.770
Pd -1.353 2.344 1.770
Pd -2.702 4.680 0.000
Pd 0.890 1.541 0.000
Pd 2.707 0.000 1.770
Pd 2.239 3.877 1.770
Pd 5.404 0.000 0.000
```

Largest 10 diffraction maxima, sorted by position, 2θ = 15–90°:
24.79°, I = 17; 35.61°, I = 100; 38.28°, I = 37; 38.53°, I = 56; 43.65°, I = 54; 46.36°, I = 43; 51.64°, I = 20; 69.87°, I = 27; 71.24°, I = 23; 74.91°, I = 20

---

(3)
Starting from a cell relaxed with GGA-PBE, the powder XRD pattern of Li3Cd4Ge was simulated for a wavelength of 1.5418 Å.

Cell and atoms:
```
8
Lattice="3.075 0.000 0.000 -0.008 4.234 0.000 -1.458 -1.923 12.018" Properties=species:S:1:pos:R:3 pbc="T T T"
Li 0.000 0.000 0.000
Li 0.007 2.195 3.642
Li 1.601 0.115 8.377
Cd 0.043 2.214 6.804
Cd 0.068 2.259 9.767
Cd 1.541 0.052 2.251
Cd 1.566 0.096 5.215
Ge 1.533 2.117 0.000
```

Largest 10 diffraction maxima, sorted by position, 2θ = 15–90°:
22.19°, I = 42; 23.61°, I = 54; 23.93°, I = 51; 29.28°, I = 100; 33.33°, I = 72; 33.88°, I = 72; 36.10°, I = 94; 36.84°, I = 38; 37.41°, I = 43; 42.70°, I = 83

---

(4)
Starting from a cell relaxed with GGA-PBE, the powder XRD pattern of PdRu was simulated for a wavelength of 1.5418 Å.

Cell and atoms:
```
2
Lattice="2.751 0.000 0.000 -1.375 2.382 0.000 0.000 0.000 4.448" Properties=species:S:1:pos:R:3 pbc="T T T"
Pd 0.000 0.000 0.000
Ru 0.000 1.588 2.224
```

Largest 10 diffraction maxima, sorted by position, 2θ = 15–90°:
37.76°, I = 24; 40.56°, I = 26; 43.07°, I = 100; 56.61°, I = 15; 68.18°, I = 16; 75.52°, I = 18; 80.66°, I = 3; 82.45°, I = 19; 84.13°, I = 14; 87.77°, I = 3

---

(5)
Starting from a cell relaxed with GGA-PBE, the powder XRD pattern of Y3Ho2Mg3 was simulated for a wavelength of 1.5418 Å.

Cell and atoms:
```
16
Lattice="3.748 0.000 0.000 0.000 5.424 0.000 0.000 0.000 22.404" Properties=species:S:1:pos:R:3 pbc="T T T"
Y 0.000 0.000 0.000
Y 0.000 2.712 2.810
Y 0.000 2.712 19.594
Y 1.874 0.000 8.392
Y 1.874 0.000 14.012
Y 1.874 2.712 11.202
Ho 0.000 0.000 5.262
Ho 0.000 0.000 17.142
Ho 1.874 2.712 5.940
Ho 1.874 2.712 16.464
Mg 0.000 0.000 11.202
Mg 0.000 2.712 8.586
Mg 0.000 2.712 13.817
Mg 1.874 0.000 2.616
Mg 1.874 0.000 19.788
Mg 1.874 2.712 0.000
```

Largest 10 diffraction maxima, sorted by position, 2θ = 15–90°:
15.82°, I = 12; 25.79°, I = 20; 30.06°, I = 13; 31.96°, I = 22; 33.03°, I = 27; 33.16°, I = 100; 46.62°, I = 15; 55.81°, I = 13; 57.73°, I = 11; 59.07°, I = 21

---

(6)
Starting from a cell relaxed with GGA-PBE, the powder XRD pattern of MgSiH12O6F6 was simulated for a wavelength of 1.5418 Å.

Cell and atoms:
```
52
Lattice="6.551 0.000 0.000 0.000 9.572 0.000 -1.511 0.000 8.345" Properties=species:S:1:pos:R:3 pbc="T T T"
Mg 0.000 0.000 0.000
Mg -0.756 4.786 4.172
Si 2.520 0.000 4.172
Si 3.275 4.786 0.000
H -0.191 0.641 2.663
H -0.947 4.145 6.836
H 0.915 5.078 1.976
H 0.159 9.280 6.149
H 0.554 6.436 5.889
H 1.310 7.922 1.717
H 0.839 7.034 4.447
H 1.595 7.324 0.275
H 1.740 2.131 0.193
H 0.984 2.655 4.365
H 2.258 0.992 1.166
H 1.502 3.794 5.338
H 3.537 5.778 3.006
H 2.781 8.580 7.179
H 4.055 6.917 3.980
H 3.300 7.441 8.152
H 3.445 2.248 8.070
H 4.200 2.538 3.897
H 3.730 1.650 6.628
H 4.486 3.136 2.456
H 4.880 0.292 2.196
H 4.125 4.494 6.368
H 5.986 5.427 1.509
H 5.231 8.931 5.681
O -0.015 5.162 2.276
O -0.770 9.196 6.449
O 0.255 6.429 4.955
O 1.011 7.929 0.783
O 1.672 1.174 0.400
O 0.917 3.612 4.573
O 4.123 5.960 3.772
O 3.367 8.398 7.944
O 4.029 1.643 7.562
O 4.785 3.143 3.390
O 5.810 0.376 1.896
O 5.054 4.410 6.068
F 1.102 0.930 3.882
F 0.347 3.856 8.055
F 1.013 6.164 7.630
F 1.769 8.194 3.458
F 2.650 5.246 1.536
F 1.895 9.112 5.708
F 3.145 0.460 2.636
F 2.389 4.326 6.809
F 3.270 1.378 4.887
F 4.026 3.408 0.714
F 4.693 5.716 0.290
F 3.937 8.642 4.462
```

Largest 10 diffraction maxima, sorted by position, 2θ = 15–90°:
18.34°, I = 100; 18.54°, I = 48; 21.02°, I = 48; 21.30°, I = 26; 33.52°, I = 22; 33.66°, I = 12; 33.93°, I = 17; 34.06°, I = 18; 39.16°, I = 12; 47.33°, I = 19

---

(7)
Starting from a cell relaxed with GGA-PBE, the powder XRD pattern of Cs3Ag2Hg4 was simulated for a wavelength of 1.5418 Å.

Cell and atoms:
```
9
Lattice="6.637 -2.674 0.000 6.637 2.674 0.000 -3.467 0.000 9.804" Properties=species:S:1:pos:R:3 pbc="T T T"
Cs 0.000 0.000 0.000
Cs 3.907 0.000 3.131
Cs 5.900 0.000 6.673
Ag 2.051 0.000 6.600
Ag 7.756 0.000 3.204
Hg 0.205 0.000 4.068
Hg 0.471 0.000 9.077
Hg 9.336 0.000 0.727
Hg 9.602 0.000 5.736
```

Largest 10 diffraction maxima, sorted by position, 2θ = 15–90°:
26.21°, I = 85; 26.87°, I = 17; 27.11°, I = 18; 27.31°, I = 100; 32.82°, I = 40; 33.18°, I = 68; 33.51°, I = 52; 47.61°, I = 34; 51.13°, I = 28; 58.83°, I = 17

---

(8)
Starting from a cell relaxed with GGA-PBE, the powder XRD pattern of Cs2H2F7 was simulated for a wavelength of 1.5418 Å.

Cell and atoms:
```
11
Lattice="6.039 -3.837 0.000 6.039 3.837 0.000 -0.667 0.000 4.426" Properties=species:S:1:pos:R:3 pbc="T T T"
Cs 6.039 1.926 0.000
Cs 6.039 -1.926 0.000
H 3.624 0.000 1.385
H 7.788 0.000 3.041
F -0.333 0.000 2.213
F 2.281 0.960 4.412
F 2.281 -0.960 4.412
F 4.324 0.000 2.049
F 7.087 0.000 2.377
F 9.131 0.960 0.013
F 9.131 -0.960 0.013
```

Largest 10 diffraction maxima, sorted by position, 2θ = 15–90°:
20.06°, I = 100; 23.18°, I = 51; 27.64°, I = 65; 29.93°, I = 48; 30.84°, I = 89; 33.00°, I = 63; 33.61°, I = 44; 35.73°, I = 43; 38.19°, I = 37; 47.39°, I = 32

---

(9)
Starting from a cell relaxed with GGA-PBE, the powder XRD pattern of KMoP4 was simulated for a wavelength of 1.5418 Å.

Cell and atoms:
```
6
Lattice="0.000 3.861 3.861 3.861 0.000 3.861 3.861 3.861 0.000" Properties=species:S:1:pos:R:3 pbc="T T T"
K 0.000 0.000 0.000
Mo 5.791 5.791 5.791
P 3.018 3.018 3.018
P 4.703 4.703 3.018
P 4.703 3.018 4.703
P 3.018 4.703 4.703
```

Largest 10 diffraction maxima, sorted by position, 2θ = 15–90°:
19.92°, I = 34; 32.81°, I = 65; 38.68°, I = 100; 40.47°, I = 19; 53.04°, I = 10; 58.57°, I = 22; 62.50°, I = 32; 68.78°, I = 19; 72.41°, I = 8; 81.80°, I = 8

---

(10)
Starting from a cell relaxed with GGA-PBE, the powder XRD pattern of SrFe5N4 was simulated for a wavelength of 1.5418 Å.

Cell and atoms:
```
20
Lattice="5.850 0.000 0.000 0.000 9.421 0.000 0.000 0.000 4.402" Properties=species:S:1:pos:R:3 pbc="T T T"
Sr 1.462 2.355 0.998
Sr 4.387 7.066 3.404
Fe 0.031 5.293 1.016
Fe 0.031 8.839 1.016
Fe 1.462 7.066 2.322
Fe 2.894 5.293 1.016
Fe 2.894 8.839 1.016
Fe 2.956 0.582 3.386
Fe 2.956 4.128 3.386
Fe 4.387 2.355 2.080
Fe 5.818 0.582 3.386
Fe 5.818 4.128 3.386
N 0.046 7.066 1.276
N 1.462 4.736 4.342
N 1.462 9.396 4.342
N 2.879 7.066 1.276
N 2.971 2.355 3.126
N 4.387 0.025 0.060
N 4.387 4.686 0.060
N 5.804 2.355 3.126
```

Largest 10 diffraction maxima, sorted by position, 2θ = 15–90°:
27.06°, I = 23; 27.74°, I = 23; 35.10°, I = 95; 36.15°, I = 73; 38.17°, I = 100; 41.01°, I = 24; 45.05°, I = 21; 52.00°, I = 20; 55.80°, I = 22; 62.29°, I = 44

---

(11)
Starting from a cell relaxed with GGA-PBE, the powder XRD pattern of TiRu2Br2 was simulated for a wavelength of 1.5418 Å.

Cell and atoms:
```
10
Lattice="7.297 0.000 0.000 0.000 7.297 0.000 0.000 0.000 3.160" Properties=species:S:1:pos:R:3 pbc="T T T"
Ti 0.000 0.000 0.000
Ti 3.648 3.648 0.000
Ru 1.052 2.596 1.580
Ru 2.596 6.244 1.580
Ru 4.701 1.052 1.580
Ru 6.244 4.701 1.580
Br 1.217 4.865 0.000
Br 2.431 1.217 0.000
Br 4.865 6.080 0.000
Br 6.080 2.431 0.000
```

Largest 10 diffraction maxima, sorted by position, 2θ = 15–90°:
17.19°, I = 14; 24.40°, I = 8; 39.04°, I = 40; 39.70°, I = 100; 53.26°, I = 11; 58.40°, I = 13; 59.90°, I = 15; 72.50°, I = 12; 76.49°, I = 20; 82.99°, I = 10

---

(12)
Starting from a cell relaxed with GGA-PBE, the powder XRD pattern of LaGa6 was simulated for a wavelength of 1.5418 Å.

Cell and atoms:
```
14
Lattice="6.103 0.000 0.000 0.000 6.103 0.000 0.000 0.000 7.777" Properties=species:S:1:pos:R:3 pbc="T T T"
La 1.526 4.577 0.000
La 4.577 1.526 0.000
Ga 0.345 3.396 2.728
Ga 0.345 5.758 5.049
Ga 1.526 1.526 1.268
Ga 1.526 1.526 6.509
Ga 2.706 3.396 5.049
Ga 2.706 5.758 2.728
Ga 3.396 0.345 5.049
Ga 3.396 2.706 2.728
Ga 4.577 4.577 1.268
Ga 4.577 4.577 6.509
Ga 5.758 0.345 2.728
Ga 5.758 2.706 5.049
```

Largest 10 diffraction maxima, sorted by position, 2θ = 15–90°:
30.96°, I = 33; 31.49°, I = 100; 34.84°, I = 27; 40.38°, I = 25; 40.60°, I = 42; 41.87°, I = 39; 45.94°, I = 14; 52.97°, I = 20; 68.51°, I = 15; 75.60°, I = 16